Entry 1:
# PaPN
Calculated XRD peak list, Cu Kα (weighted mean of Kα1 and Kα2). Input: a structure optimized by DFT (PBE).

Top 12 peaks for 2θ = 15–90°, by angle:
- 2θ 23.0, I 28
- 2θ 26.7, I 35
- 2θ 27.5, I 100
- 2θ 29.4, I 27
- 2θ 30.9, I 27
- 2θ 32.3, I 20
- 2θ 34.9, I 21
- 2θ 36.5, I 38
- 2θ 45.3, I 17
- 2θ 46.3, I 26
- 2θ 56.0, I 18
- 2θ 56.7, I 21

Structural model:
Unit cell a=3.940 b=3.940 c=7.835 alpha=98.51 beta=98.51 gamma=61.11
Fractional coordinates of all 6 atoms:
Pa 0.209 0.209 0.187
Pa 0.791 0.791 0.813
P 0.406 0.406 0.594
P 0.594 0.594 0.406
N 0.149 0.149 0.893
N 0.851 0.851 0.107

***

Entry 2:
# Si2AgN3
Calculated XRD peak list, Cu Kα (weighted mean of Kα1 and Kα2). Input: a structure optimized by DFT (PBE).

Top 12 peaks for 2θ = 15–90°, by angle:
- 2θ 20.7, I 43
- 2θ 31.3, I 68
- 2θ 36.5, I 100
- 2θ 37.0, I 36
- 2θ 39.0, I 97
- 2θ 40.5, I 64
- 2θ 46.3, I 32
- 2θ 51.2, I 49
- 2θ 59.8, I 27
- 2θ 63.0, I 33
- 2θ 65.3, I 41
- 2θ 74.2, I 33

Structural model:
Unit cell a=2.857 b=2.857 c=25.744 alpha=90.00 beta=90.00 gamma=120.00
Fractional coordinates of all 18 atoms:
Si 0.022 0.331 0.385
Si 0.309 0.978 0.052
Si 0.331 0.022 0.615
Si 0.669 0.691 0.718
Si 0.691 0.669 0.282
Si 0.978 0.309 0.948
Ag 0.000 0.351 0.167
Ag 0.351 0.000 0.833
Ag 0.649 0.649 0.500
N 0.000 0.206 0.667
N 0.016 0.344 0.252
N 0.206 0.000 0.333
N 0.328 0.984 0.918
N 0.344 0.016 0.748
N 0.656 0.672 0.585
N 0.672 0.656 0.415
N 0.794 0.794 0.000
N 0.984 0.328 0.082

***

Entry 3:
# Ca2In3Ag4
Calculated XRD peak list, Cu Kα (weighted mean of Kα1 and Kα2). Input: a structure optimized by DFT (PBE).

Top 12 peaks for 2θ = 15–90°, by angle:
- 2θ 22.6, I 16
- 2θ 35.4, I 63
- 2θ 35.5, I 31
- 2θ 35.9, I 100
- 2θ 51.2, I 10
- 2θ 51.3, I 21
- 2θ 63.3, I 9
- 2θ 64.1, I 10
- 2θ 64.2, I 20
- 2θ 64.5, I 17
- 2θ 76.1, I 10
- 2θ 86.9, I 9

Structural model:
Unit cell a=5.006 b=5.006 c=9.378 alpha=90.15 beta=90.15 gamma=59.95
Fractional coordinates of all 9 atoms:
Ca 0.167 0.167 0.223
Ca 0.833 0.833 0.777
In 0.166 0.166 0.583
In 0.500 0.500 0.000
In 0.834 0.834 0.417
Ag 0.166 0.166 0.902
Ag 0.499 0.499 0.654
Ag 0.501 0.501 0.346
Ag 0.834 0.834 0.098

***

Entry 4:
# RbHgSbTe3
Calculated XRD peak list, Cu Kα (weighted mean of Kα1 and Kα2). Input: a structure optimized by DFT (PBE).

Top 12 peaks for 2θ = 15–90°, by angle:
- 2θ 25.5, I 14
- 2θ 26.5, I 100
- 2θ 29.5, I 53
- 2θ 29.7, I 41
- 2θ 34.0, I 17
- 2θ 36.4, I 16
- 2θ 37.1, I 23
- 2θ 39.3, I 27
- 2θ 40.8, I 20
- 2θ 45.7, I 31
- 2θ 47.3, I 13
- 2θ 50.0, I 19

Structural model:
Unit cell a=8.432 b=8.432 c=12.049 alpha=90.00 beta=90.00 gamma=148.47
Fractional coordinates of all 12 atoms:
Rb 0.248 0.752 0.500
Rb 0.752 0.248 0.000
Hg 0.452 0.548 0.010
Hg 0.548 0.452 0.510
Sb 0.009 0.991 0.764
Sb 0.991 0.009 0.264
Te 0.066 0.934 0.993
Te 0.366 0.634 0.214
Te 0.377 0.623 0.796
Te 0.623 0.377 0.296
Te 0.634 0.366 0.714
Te 0.934 0.066 0.493

***

Entry 5:
# TbPm6NdY2
Calculated XRD peak list, Cu Kα (weighted mean of Kα1 and Kα2). Input: a structure optimized by DFT (PBE).

Top 12 peaks for 2θ = 15–90°, by angle:
- 2θ 27.7, I 14
- 2θ 28.1, I 43
- 2θ 29.9, I 62
- 2θ 30.3, I 64
- 2θ 30.7, I 100
- 2θ 31.0, I 39
- 2θ 31.8, I 21
- 2θ 33.5, I 34
- 2θ 34.2, I 24
- 2θ 45.8, I 15
- 2θ 52.9, I 15
- 2θ 58.8, I 16

Structural model:
Unit cell a=8.962 b=8.962 c=9.657 alpha=93.61 beta=93.61 gamma=117.21
Fractional coordinates of all 20 atoms:
Tb 0.032 0.968 0.750
Tb 0.968 0.032 0.250
Pm 0.016 0.565 0.684
Pm 0.113 0.760 0.057
Pm 0.240 0.887 0.443
Pm 0.294 0.515 0.882
Pm 0.435 0.984 0.816
Pm 0.485 0.706 0.618
Pm 0.515 0.294 0.382
Pm 0.565 0.016 0.184
Pm 0.706 0.485 0.118
Pm 0.760 0.113 0.557
Pm 0.887 0.240 0.943
Pm 0.984 0.435 0.316
Nd 0.408 0.592 0.250
Nd 0.592 0.408 0.750
Y 0.198 0.294 0.548
Y 0.294 0.198 0.048
Y 0.706 0.802 0.952
Y 0.802 0.706 0.452

***

Entry 6:
# TbZnRh4
Calculated XRD peak list, Cu Kα (weighted mean of Kα1 and Kα2). Input: a structure optimized by DFT (PBE).

Top 12 peaks for 2θ = 15–90°, by angle:
- 2θ 31.4, I 12
- 2θ 35.3, I 49
- 2θ 37.7, I 100
- 2θ 38.4, I 14
- 2θ 44.3, I 56
- 2θ 44.6, I 32
- 2θ 45.7, I 32
- 2θ 61.0, I 10
- 2θ 65.6, I 34
- 2θ 72.5, I 10
- 2θ 79.2, I 11
- 2θ 79.5, I 9

Structural model:
Unit cell a=8.523 b=8.523 c=6.075 alpha=90.00 beta=90.00 gamma=153.08
Fractional coordinates of all 12 atoms:
Tb 0.099 0.901 0.750
Tb 0.901 0.099 0.250
Zn 0.229 0.771 0.250
Zn 0.771 0.229 0.750
Rh 0.075 0.925 0.250
Rh 0.335 0.665 0.537
Rh 0.335 0.665 0.963
Rh 0.500 0.500 0.000
Rh 0.500 0.500 0.500
Rh 0.665 0.335 0.037
Rh 0.665 0.335 0.463
Rh 0.925 0.075 0.750

***

Number 5 is which compound? TbPm6NdY2